Simulated X-ray powder pattern of Ta2CrRe for Cu Kα, from a crystal structure in Alexandria, relaxed with PBE.

Principal peaks in the range 10° ≤ 2θ ≤ 90°, sorted by position:
| h k l | d_spacing | 2θ (°) | intensity |
| --- | --- | --- | --- |
| 1 1 0 | 4.458 | 19.9 | 27 |
| 2 0 -1 | 2.274 | 39.6 | 52 |
| 0 2 1 | 2.243 | 40.2 | 100 |
| 2 2 0 | 2.229 | 40.5 | 98 |
| 0 4 0 | 2.187 | 41.3 | 46 |
| 2 0 1 | 1.587 | 58.1 | 17 |
| 2 4 -1 | 1.576 | 58.6 | 33 |
| 2 2 -2 | 1.310 | 72.1 | 18 |
| 4 2 -1 | 1.301 | 72.7 | 17 |
| 2 4 1 | 1.284 | 73.8 | 17 |
| 0 6 1 | 1.273 | 74.5 | 16 |
| 2 6 0 | 1.271 | 74.7 | 16 |

Unit cell a=5.5211 b=8.7476 c=2.7844 alpha=90.00 beta=110.18 gamma=90.00
Sites, in units of the cell vectors:
Ta (0.2500, 0.2500, 0.0000)
Ta (0.2500, 0.7500, 0.0000)
Ta (0.7500, 0.2500, 0.0000)
Ta (0.7500, 0.7500, 0.0000)
Cr (0.0000, 0.0000, 0.5000)
Cr (0.5000, 0.5000, 0.5000)
Re (0.0000, 0.5000, 0.5000)
Re (0.5000, 0.0000, 0.5000)